Tb2Pm2YSc: calculated PXRD pattern (Cu Kα (λ = 1.5418 Å)), based on the GGA-PBE geometry in Alexandria.
Kinematic intensities with the Lorentz-polarization factor, no thermal factor.

The 10 most intense peaks (10° ≤ 2θ ≤ 90°), sorted by position:
two_theta	intensity
25.87	8
31.89	100
41.54	12
45.72	16
53.19	4
56.87	26
63.39	15
66.74	6
75.86	7
81.64	7

Cell and atoms:
```
Tb2Pm2YSc
1.0
6.888 0.000 0.000
0.000 5.607 0.000
0.000 0.000 9.710
Tb Pm Y Sc
4 4 2 2
Direct
0.250 0.000 0.161
0.250 0.500 0.670
0.750 0.000 0.839
0.750 0.500 0.330
0.000 0.500 0.000
0.250 0.000 0.812
0.500 0.500 0.000
0.750 0.000 0.188
0.250 0.500 0.349
0.750 0.500 0.651
0.000 0.000 0.500
0.500 0.000 0.500
```

TbPmY5Sc2: calculated PXRD pattern (Cu Kα (λ = 1.5418 Å)), based on the GGA-PBE geometry in Alexandria.
Kinematic intensities with the Lorentz-polarization factor, no thermal factor.

The 10 most intense peaks (10° ≤ 2θ ≤ 90°), sorted by position:
two_theta	intensity
12.52	32
26.11	13
26.67	21
31.78	62
32.42	100
32.98	67
34.66	47
41.93	16
57.02	19
57.40	18

Cell and atoms:
```
TbPmY5Sc2
1.0
2.816 -10.728 0.000
2.816 10.728 0.000
0.000 0.000 9.399
Tb Pm Y Sc
2 2 10 4
Direct
0.097 0.903 0.500
0.903 0.097 0.000
0.316 0.684 0.899
0.684 0.316 0.399
0.031 0.969 0.170
0.111 0.889 0.873
0.193 0.807 0.202
0.235 0.765 0.582
0.491 0.509 0.902
0.509 0.491 0.402
0.765 0.235 0.082
0.807 0.193 0.702
0.889 0.111 0.373
0.969 0.031 0.670
0.364 0.636 0.216
0.387 0.613 0.593
0.613 0.387 0.093
0.636 0.364 0.716
```

TbPm3Y6Sc2: calculated PXRD pattern (Cu Kα (λ = 1.5418 Å)), based on the GGA-PBE geometry in Alexandria.
Kinematic intensities with the Lorentz-polarization factor, no thermal factor.

The 10 most intense peaks (10° ≤ 2θ ≤ 90°), sorted by position:
two_theta	intensity
30.90	100
31.05	32
35.87	66
51.54	23
51.73	22
61.34	22
61.40	18
61.57	13
64.38	12
84.14	11

Cell and atoms:
```
TbPm3Y6Sc2
1.0
3.072 -5.319 0.000
3.072 5.319 0.000
-2.045 0.000 11.523
Tb Pm Y Sc
1 3 6 2
Direct
0.000 0.000 0.000
0.167 0.833 0.500
0.500 0.500 0.500
0.833 0.167 0.500
0.081 0.417 0.242
0.255 0.255 0.758
0.417 0.081 0.242
0.583 0.919 0.758
0.745 0.745 0.242
0.919 0.583 0.758
0.333 0.667 0.000
0.667 0.333 0.000
```

TbPm2Y6Sc: calculated PXRD pattern (Cu Kα (λ = 1.5418 Å)), based on the GGA-PBE geometry in Alexandria.
Kinematic intensities with the Lorentz-polarization factor, no thermal factor.

The 10 most intense peaks (10° ≤ 2θ ≤ 90°), sorted by position:
two_theta	intensity
11.07	36
21.57	37
28.46	67
29.54	49
29.69	86
30.88	100
31.02	46
31.19	48
31.61	45
32.76	74

Cell and atoms:
```
TbPm2Y6Sc
1.0
4.628 -7.990 0.000
4.628 7.990 0.000
-0.395 0.000 8.729
Tb Pm Y Sc
2 4 12 2
Direct
0.031 0.969 0.750
0.969 0.031 0.250
0.211 0.319 0.552
0.319 0.211 0.052
0.681 0.789 0.948
0.789 0.681 0.448
0.050 0.460 0.293
0.134 0.794 0.051
0.206 0.866 0.449
0.263 0.526 0.909
0.460 0.050 0.793
0.474 0.737 0.591
0.526 0.263 0.409
0.540 0.950 0.207
0.737 0.474 0.091
0.794 0.134 0.551
0.866 0.206 0.949
0.950 0.540 0.707
0.446 0.554 0.250
0.554 0.446 0.750
```

Pm4ScTe7: calculated PXRD pattern (Cu Kα (λ = 1.5418 Å)), based on the GGA-PBE geometry in Alexandria.
Kinematic intensities with the Lorentz-polarization factor, no thermal factor.

The 10 most intense peaks (10° ≤ 2θ ≤ 90°), sorted by position:
two_theta	intensity
27.09	60
27.55	74
27.96	80
28.30	89
29.35	100
30.33	93
32.26	61
36.85	65
41.87	51
42.10	75

Cell and atoms:
```
Pm4ScTe7
1.0
7.204 -2.146 0.000
7.204 2.146 0.000
-3.344 0.000 12.816
Pm Sc Te
4 1 7
Direct
0.000 0.000 0.000
0.188 0.188 0.762
0.586 0.586 0.371
0.886 0.886 0.563
0.773 0.773 0.143
0.158 0.158 0.217
0.222 0.222 0.518
0.379 0.379 0.075
0.549 0.549 0.617
0.633 0.633 0.928
0.852 0.852 0.785
0.918 0.918 0.341
```

PmSc5Te8: calculated PXRD pattern (Cu Kα (λ = 1.5418 Å)), based on the GGA-PBE geometry in Alexandria.
Kinematic intensities with the Lorentz-polarization factor, no thermal factor.

The 10 most intense peaks (10° ≤ 2θ ≤ 90°), sorted by position:
two_theta	intensity
20.31	17
23.86	24
24.94	96
28.87	72
37.80	32
41.29	100
48.84	40
51.17	16
67.77	17
75.28	26

Cell and atoms:
```
PmSc5Te8
1.0
0.000 6.184 6.184
6.184 0.000 6.184
6.184 6.184 0.000
Pm Sc Te
1 5 8
Direct
0.000 0.000 0.000
0.136 0.621 0.621
0.250 0.250 0.250
0.621 0.136 0.621
0.621 0.621 0.136
0.621 0.621 0.621
0.381 0.381 0.381
0.381 0.381 0.856
0.381 0.856 0.381
0.418 0.861 0.861
0.856 0.381 0.381
0.861 0.418 0.861
0.861 0.861 0.418
0.861 0.861 0.861
```